Simulated X-ray diffraction stick pattern
Compound: DyY3Er7
Radiation: Cu Kα X-rays
Structure: a structure optimized by DFT (PBE)

Structure:
```
data_DyY3Er7
_cell_length_a 5.744
_cell_length_b 11.079
_cell_length_c 11.162
_cell_angle_alpha 90.00
_cell_angle_beta 90.00
_cell_angle_gamma 90.00
_space_group_name_H-M_alt 'I m m m'
_space_group_IT_number 71
_space_group_name_Hall '-I 2 2'
loop_
_atom_site_label
_atom_site_fract_x
_atom_site_fract_y
_atom_site_fract_z
Dy1 0.000 0.000 0.000
Y1 0.000 0.207 0.500
Y2 0.000 0.500 0.000
Er1 0.000 0.000 0.291
Er2 0.000 0.302 0.204
Er3 0.000 0.500 0.500
```

Peak list (6 most intense, 2θ from 15° to 90°, in order of rising 2θ)
index  2θ (°)  Rel. int.
0 1 3  25.25  19
1 3 0  28.74  18
2 0 0  31.14  43
0 0 4  32.08  17
1 3 2  32.97  100
3 3 2  56.58  21

***

Simulated X-ray diffraction stick pattern
Compound: Dy3Y2Er3
Radiation: Cu Kα X-rays
Structure: a structure optimized by DFT (PBE)

Structure:
```
data_Dy3Y2Er3
_cell_length_a 23.728
_cell_length_b 3.551
_cell_length_c 6.151
_cell_angle_alpha 90.00
_cell_angle_beta 105.01
_cell_angle_gamma 90.00
_space_group_name_H-M_alt 'C 1 2/m 1'
_space_group_IT_number 12
_space_group_name_Hall '-C 2y'
loop_
_atom_site_label
_atom_site_fract_x
_atom_site_fract_y
_atom_site_fract_z
Dy1 0.000 0.000 0.000
Dy2 0.124 0.000 0.458
Y1 0.250 0.000 0.250
Er1 0.000 0.500 0.500
Er2 0.124 0.500 0.958
```

Peak list (6 most intense, 2θ from 15° to 90°, in order of rising 2θ)
index  2θ (°)  Rel. int.
0 0 2  30.09  62
8 0 0  31.22  37
5 1 -1  33.06  100
8 0 -2  37.55  35
0 2 0  51.46  28
8 2 0  61.43  32

***

Simulated X-ray diffraction stick pattern
Compound: Dy6YEr4
Radiation: Cu Kα X-rays
Structure: a structure optimized by DFT (PBE)

Structure:
```
data_Dy6YEr4
_cell_length_a 5.666
_cell_length_b 9.583
_cell_length_c 25.499
_cell_angle_alpha 90.00
_cell_angle_beta 90.00
_cell_angle_gamma 90.00
_space_group_name_H-M_alt 'C m c m'
_space_group_IT_number 63
_space_group_name_Hall '-C 2c 2'
loop_
_atom_site_label
_atom_site_fract_x
_atom_site_fract_y
_atom_site_fract_z
Dy1 0.000 0.000 0.000
Dy2 0.000 0.025 0.250
Dy3 0.000 0.309 0.603
Dy4 0.000 0.359 0.181
Y1 0.000 0.310 0.750
Er1 0.000 0.029 0.122
Er2 0.000 0.343 0.043
```

Peak list (6 most intense, 2θ from 15° to 90°, in order of rising 2θ)
index  2θ (°)  Rel. int.
1 1 7  30.63  62
0 2 7  30.83  48
2 0 0  31.58  63
1 3 0  32.17  100
1 1 8  33.59  52
3 3 0  56.63  38

***

Simulated X-ray diffraction stick pattern
Compound: Dy8YEr3
Radiation: Cu Kα X-rays
Structure: a structure optimized by DFT (PBE)

Structure:
```
data_Dy8YEr3
_cell_length_a 7.656
_cell_length_b 7.656
_cell_length_c 15.318
_cell_angle_alpha 90.00
_cell_angle_beta 90.00
_cell_angle_gamma 90.00
_space_group_name_H-M_alt 'I 4/m m m'
_space_group_IT_number 139
_space_group_name_Hall '-I 4 2'
loop_
_atom_site_label
_atom_site_fract_x
_atom_site_fract_y
_atom_site_fract_z
Dy1 0.249 0.249 0.126
Y1 0.000 0.000 0.500
Er1 0.000 0.000 0.000
Er2 0.000 0.500 0.250
```

Peak list (6 most intense, 2θ from 15° to 90°, in order of rising 2θ)
index  2θ (°)  Rel. int.
1 1 2  20.09  23
2 0 0  23.23  17
2 2 0  33.09  100
4 0 0  47.50  18
4 2 4  59.11  38
6 2 0  79.10  16

***

Simulated X-ray diffraction stick pattern
Compound: Dy4Y3Er5
Radiation: Cu Kα X-rays
Structure: a structure optimized by DFT (PBE)

Structure:
```
data_Dy4Y3Er5
_cell_length_a 6.122
_cell_length_b 7.074
_cell_length_c 8.649
_cell_angle_alpha 89.93
_cell_angle_beta 89.91
_cell_angle_gamma 89.95
_space_group_name_H-M_alt 'P -1'
_space_group_IT_number 2
_space_group_name_Hall '-P 1'
loop_
_atom_site_label
_atom_site_fract_x
_atom_site_fract_y
_atom_site_fract_z
Dy1 0.167 0.001 0.332
Dy2 0.332 0.750 0.666
Y1 0.333 0.250 0.666
Y2 0.500 0.500 0.000
Er1 0.001 0.750 0.999
Er2 0.166 0.500 0.332
Er3 0.500 0.000 0.000
```

Peak list (6 most intense, 2θ from 15° to 90°, in order of rising 2θ)
index  2θ (°)  Rel. int.
1 2 1  30.99  100
2 0 2  35.94  50
3 2 0  51.72  30
4 0 1  61.51  28
3 2 -3  61.59  14
5 2 2  87.18  10

***

Simulated X-ray diffraction stick pattern
Compound: Dy2Y8Er3
Radiation: Cu Kα X-rays
Structure: a structure optimized by DFT (PBE)

Structure:
```
data_Dy2Y8Er3
_cell_length_a 11.691
_cell_length_b 20.564
_cell_length_c 3.515
_cell_angle_alpha 90.00
_cell_angle_beta 90.00
_cell_angle_gamma 90.00
_space_group_name_H-M_alt 'P b a m'
_space_group_IT_number 55
_space_group_name_Hall '-P 2 2ab'
loop_
_atom_site_label
_atom_site_fract_x
_atom_site_fract_y
_atom_site_fract_z
Dy1 0.179 0.099 0.000
Y1 0.045 0.572 0.000
Y2 0.055 0.843 0.500
Y3 0.128 0.284 0.000
Y4 0.209 0.449 0.500
Er1 0.000 0.000 0.500
Er2 0.147 0.700 0.500
```

Peak list (6 most intense, 2θ from 15° to 90°, in order of rising 2θ)
index  2θ (°)  Rel. int.
2 1 1  29.98  71
1 7 0  31.40  41
3 5 0  31.63  73
1 4 1  31.79  100
3 1 1  34.64  66
0 6 1  36.62  36